# 1
Structure and calculated X-ray diffraction stick pattern of Co3OF5 (a DFT-relaxed cell (PBE+U, the Materials Project); copper Kα).
No peak broadening, texture or thermal motion is included.

Principal peaks in the range 10° ≤ 2θ ≤ 90°, in order of rising 2θ:
d_spacing  2θ (°)  I (rel.)
3.406  26.16  91.9
3.262  27.34  79.3
2.625  34.16  100.0
2.356  38.20  14.1
2.317  38.87  15.8
2.270  39.70  18.1
1.775  51.49  62.6
1.733  52.83  46.7
1.703  53.83  17.3
1.631  56.41  14.1
1.581  58.39  17.8
1.407  66.47  37.6

Structural model:
```
data_Co3OF5
_cell_length_a 9.4830
_cell_length_b 4.7165
_cell_length_c 4.7165
_cell_angle_alpha 92.47
_cell_angle_beta 90.00
_cell_angle_gamma 90.00
_symmetry_space_group_name_H-M 'P 1'
_symmetry_Int_Tables_number 1
loop_
_symmetry_equiv_pos_as_xyz
'x,y,z'
loop_
_atom_site_label
_atom_site_fract_x
_atom_site_fract_y
_atom_site_fract_z
Co1 0.0000 0.0000 0.0000
Co2 0.1643 0.4585 0.4585
Co3 0.3260 0.9946 0.9946
Co4 0.5000 0.4944 0.4944
Co5 0.6740 0.9946 0.9946
Co6 0.8357 0.4585 0.4585
O1 0.1627 0.1885 0.1885
O2 0.8373 0.1885 0.1885
F1 0.0000 0.2960 0.6786
F2 0.0000 0.6786 0.2960
F3 0.1627 0.7733 0.7733
F4 0.3305 0.2926 0.6830
F5 0.3305 0.6830 0.2926
F6 0.5000 0.1879 0.1879
F7 0.5000 0.7997 0.7997
F8 0.6695 0.2926 0.6830
F9 0.6695 0.6830 0.2926
F10 0.8373 0.7733 0.7733
```

# 2
Structure and calculated X-ray diffraction stick pattern of Co2O3F (a DFT-relaxed cell (PBE+U, the Materials Project); copper Kα).
No peak broadening, texture or thermal motion is included.

Principal peaks in the range 10° ≤ 2θ ≤ 90°, in order of rising 2θ:
d_spacing  2θ (°)  I (rel.)
3.313  26.91  88.9
3.074  29.05  84.3
2.470  36.37  100.0
2.254  40.01  17.5
2.204  40.94  13.6
2.130  42.44  10.8
1.700  53.94  51.2
1.657  55.47  13.8
1.632  56.38  48.2
1.537  60.20  13.1
1.476  62.95  14.5
1.339  70.30  32.4

Structural model:
```
data_Co2O3F
_cell_length_a 14.7649
_cell_length_b 4.5197
_cell_length_c 4.5197
_cell_angle_alpha 85.72
_cell_angle_beta 90.00
_cell_angle_gamma 90.00
_symmetry_space_group_name_H-M 'P 1'
_symmetry_Int_Tables_number 1
loop_
_symmetry_equiv_pos_as_xyz
'x,y,z'
loop_
_atom_site_label
_atom_site_fract_x
_atom_site_fract_y
_atom_site_fract_z
Co1 0.0000 0.0000 0.0000
Co2 0.0999 0.4637 0.4637
Co3 0.1994 0.9950 0.9950
Co4 0.2999 0.5223 0.5223
Co5 0.3999 0.9796 0.9796
Co6 0.5000 0.5126 0.5126
Co7 0.6001 0.9796 0.9796
Co8 0.7001 0.5223 0.5223
Co9 0.8006 0.9950 0.9950
Co10 0.9001 0.4637 0.4637
O1 0.0000 0.2900 0.6839
O2 0.0000 0.6839 0.2900
O3 0.0964 0.1748 0.1748
O4 0.1999 0.3005 0.6880
O5 0.1999 0.6880 0.3005
O6 0.2963 0.8082 0.8082
O7 0.4006 0.3075 0.6926
O8 0.4006 0.6926 0.3075
O9 0.5000 0.7888 0.7888
O10 0.5994 0.3075 0.6926
O11 0.5994 0.6926 0.3075
O12 0.7037 0.8082 0.8082
O13 0.8001 0.3005 0.6880
O14 0.8001 0.6880 0.3005
O15 0.9036 0.1748 0.1748
F1 0.0932 0.7955 0.7955
F2 0.3029 0.2000 0.2000
F3 0.5000 0.2008 0.2008
F4 0.6971 0.2000 0.2000
F5 0.9068 0.7955 0.7955
```

# 3
Structure and calculated X-ray diffraction stick pattern of Co6O7F5 (a DFT-relaxed cell (PBE+U, the Materials Project); copper Kα).
No peak broadening, texture or thermal motion is included.

Principal peaks in the range 10° ≤ 2θ ≤ 90°, in order of rising 2θ:
d_spacing  2θ (°)  I (rel.)
3.330  26.77  94.8
3.094  28.85  85.3
2.491  36.05  100.0
2.221  40.62  14.7
2.147  42.09  12.7
1.711  53.56  57.2
1.665  55.17  16.4
1.644  55.93  48.0
1.547  59.77  13.3
1.491  62.27  15.9
1.350  69.65  17.1
1.346  69.90  17.9

Structural model:
```
data_Co6O7F5
_cell_length_a 4.5367
_cell_length_b 8.9450
_cell_length_c 4.5543
_cell_angle_alpha 90.00
_cell_angle_beta 94.20
_cell_angle_gamma 90.00
_symmetry_space_group_name_H-M 'P 1'
_symmetry_Int_Tables_number 1
loop_
_symmetry_equiv_pos_as_xyz
'x,y,z'
loop_
_atom_site_label
_atom_site_fract_x
_atom_site_fract_y
_atom_site_fract_z
Co1 0.0000 0.0000 0.0000
Co2 0.0275 0.3286 0.9701
Co3 0.0275 0.6714 0.9701
Co4 0.4976 0.1737 0.5039
Co5 0.4976 0.8263 0.5039
Co6 0.5236 0.5000 0.5336
O1 0.2000 0.1655 0.1853
O2 0.2000 0.8345 0.1853
O3 0.3280 0.3397 0.6882
O4 0.3280 0.6603 0.6882
O5 0.8142 0.1653 0.7983
O6 0.8142 0.8347 0.7983
O7 0.8307 0.5000 0.8000
F1 0.2270 0.5000 0.1949
F2 0.3033 0.0000 0.6960
F3 0.6893 0.0000 0.3102
F4 0.7167 0.3428 0.2994
F5 0.7167 0.6572 0.2994
```

# 4
Structure and calculated X-ray diffraction stick pattern of Co6O5F7 (a DFT-relaxed cell (PBE+U, the Materials Project); copper Kα).
No peak broadening, texture or thermal motion is included.

Principal peaks in the range 10° ≤ 2θ ≤ 90°, in order of rising 2θ:
d_spacing  2θ (°)  I (rel.)
3.514  25.35  100.0
3.122  28.59  82.5
2.513  35.73  93.7
2.334  38.58  17.7
2.274  39.64  14.3
2.156  41.89  12.4
1.767  51.74  64.8
1.757  52.05  19.9
1.659  55.40  45.6
1.561  59.19  12.7
1.491  62.26  15.0
1.379  67.95  38.3

Structural model:
```
data_Co6O5F7
_cell_length_a 8.9469
_cell_length_b 4.7004
_cell_length_c 4.7004
_cell_angle_alpha 96.76
_cell_angle_beta 90.00
_cell_angle_gamma 90.00
_symmetry_space_group_name_H-M 'P 1'
_symmetry_Int_Tables_number 1
loop_
_symmetry_equiv_pos_as_xyz
'x,y,z'
loop_
_atom_site_label
_atom_site_fract_x
_atom_site_fract_y
_atom_site_fract_z
Co1 0.0000 0.0000 0.0000
Co2 0.1668 0.5014 0.5014
Co3 0.3281 0.0024 0.0024
Co4 0.5000 0.5286 0.5286
Co5 0.6719 0.0024 0.0024
Co6 0.8332 0.5014 0.5014
O1 0.1641 0.1951 0.1951
O2 0.1639 0.8036 0.8036
O3 0.5000 0.8266 0.8266
O4 0.8359 0.1951 0.1951
O5 0.8361 0.8036 0.8036
F1 0.0000 0.3072 0.6935
F2 0.0000 0.6935 0.3072
F3 0.3313 0.3101 0.7027
F4 0.3313 0.7027 0.3101
F5 0.5000 0.2074 0.2074
F6 0.6687 0.3101 0.7027
F7 0.6687 0.7027 0.3101
```

# 5
Structure and calculated X-ray diffraction stick pattern of Co3OF5 (a DFT-relaxed cell (PBE+U, the Materials Project); copper Kα).
No peak broadening, texture or thermal motion is included.

Principal peaks in the range 10° ≤ 2θ ≤ 90°, in order of rising 2θ:
d_spacing  2θ (°)  I (rel.)
3.335  26.73  100.0
2.634  34.04  59.0
2.358  38.17  8.2
2.300  39.18  19.9
1.757  52.06  63.6
1.667  55.08  18.2
1.588  58.10  10.7
1.491  62.26  9.4
1.433  65.07  13.2
1.409  66.36  21.7
1.209  79.21  4.9
1.150  84.21  8.7

Structural model:
```
data_Co3OF5
_cell_length_a 9.5259
_cell_length_b 4.7139
_cell_length_c 4.7176
_cell_angle_alpha 90.00
_cell_angle_beta 90.00
_cell_angle_gamma 90.00
_symmetry_space_group_name_H-M 'P 1'
_symmetry_Int_Tables_number 1
loop_
_symmetry_equiv_pos_as_xyz
'x,y,z'
loop_
_atom_site_label
_atom_site_fract_x
_atom_site_fract_y
_atom_site_fract_z
Co1 0.0000 0.2172 0.0000
Co2 0.1613 0.7535 0.4602
Co3 0.3387 0.2465 0.9602
Co4 0.5000 0.7829 0.5000
Co5 0.6613 0.2465 0.9602
Co6 0.8387 0.7535 0.4602
O1 0.0000 0.9480 0.2673
O2 0.5000 0.0520 0.7673
F1 0.0000 0.5332 0.6823
F2 0.1648 0.0530 0.7737
F3 0.1672 0.4406 0.1613
F4 0.3328 0.5594 0.6613
F5 0.3352 0.9470 0.2737
F6 0.5000 0.4668 0.1823
F7 0.6648 0.9470 0.2737
F8 0.6672 0.5594 0.6613
F9 0.8328 0.4406 0.1613
F10 0.8352 0.0530 0.7737
```

# 6
Structure and calculated X-ray diffraction stick pattern of Co3OF5 (a DFT-relaxed cell (PBE+U, the Materials Project); copper Kα).
No peak broadening, texture or thermal motion is included.

Principal peaks in the range 10° ≤ 2θ ≤ 90°, in order of rising 2θ:
d_spacing  2θ (°)  I (rel.)
3.401  26.20  100.0
3.272  27.25  88.1
2.636  34.02  83.5
2.630  34.09  27.4
2.321  38.80  18.5
1.777  51.43  51.6
1.741  52.55  27.1
1.736  52.75  26.2
1.700  53.92  19.1
1.588  58.09  20.3
1.410  66.26  20.8
1.407  66.43  20.6

Structural model:
```
data_Co3OF5
_cell_length_a 4.7192
_cell_length_b 5.6947
_cell_length_c 7.9053
_cell_angle_alpha 87.36
_cell_angle_beta 88.53
_cell_angle_gamma 88.28
_symmetry_space_group_name_H-M 'P 1'
_symmetry_Int_Tables_number 1
loop_
_symmetry_equiv_pos_as_xyz
'x,y,z'
loop_
_atom_site_label
_atom_site_fract_x
_atom_site_fract_y
_atom_site_fract_z
Co1 0.0000 0.0000 0.0000
Co2 0.0157 0.3203 0.6630
Co3 0.4714 0.8496 0.6768
Co4 0.5000 0.5000 0.0000
Co5 0.5286 0.1504 0.3232
Co6 0.9843 0.6797 0.3370
O1 0.2012 0.0314 0.7700
O2 0.7988 0.9686 0.2300
F1 0.1954 0.7009 0.1035
F2 0.2057 0.3642 0.4271
F3 0.3044 0.2041 0.1051
F4 0.3059 0.5361 0.7640
F5 0.3063 0.8695 0.4361
F6 0.6937 0.1305 0.5639
F7 0.6941 0.4639 0.2360
F8 0.6956 0.7959 0.8949
F9 0.7943 0.6358 0.5729
F10 0.8046 0.2991 0.8965
```

# 7
Structure and calculated X-ray diffraction stick pattern of Co2O3F (a DFT-relaxed cell (PBE+U, the Materials Project); copper Kα).
No peak broadening, texture or thermal motion is included.

Principal peaks in the range 10° ≤ 2θ ≤ 90°, in order of rising 2θ:
d_spacing  2θ (°)  I (rel.)
3.283  27.17  75.8
3.035  29.43  71.4
2.511  35.76  100.0
2.230  40.44  21.5
1.706  53.73  11.5
1.704  53.80  33.0
1.641  56.03  11.4
1.631  56.40  42.1
1.519  61.02  27.5
1.379  67.99  12.7
1.336  70.48  13.3
1.333  70.65  12.4

Structural model:
```
data_Co2O3F
_cell_length_a 6.0776
_cell_length_b 6.5652
_cell_length_c 6.7866
_cell_angle_alpha 89.84
_cell_angle_beta 63.43
_cell_angle_gamma 89.93
_symmetry_space_group_name_H-M 'P 1'
_symmetry_Int_Tables_number 1
loop_
_symmetry_equiv_pos_as_xyz
'x,y,z'
loop_
_atom_site_label
_atom_site_fract_x
_atom_site_fract_y
_atom_site_fract_z
Co1 0.1228 0.2495 0.2493
Co2 0.1253 0.2140 0.7489
Co3 0.3730 0.7508 0.7506
Co4 0.3750 0.7137 0.2504
Co5 0.6250 0.2863 0.7496
Co6 0.6270 0.2492 0.2494
Co7 0.8747 0.7860 0.2511
Co8 0.8772 0.7505 0.7507
O1 0.0194 0.7456 0.4559
O2 0.1247 0.9297 0.7508
O3 0.2281 0.7525 0.0452
O4 0.2731 0.2469 0.9546
O5 0.3764 0.4321 0.2460
O6 0.4751 0.2546 0.5441
O7 0.5249 0.7454 0.4559
O8 0.6236 0.5679 0.7540
O9 0.7269 0.7531 0.0454
O10 0.7719 0.2475 0.9548
O11 0.8753 0.0703 0.2492
O12 0.9806 0.2544 0.5441
F1 0.1239 0.5337 0.7530
F2 0.3712 0.0318 0.2579
F3 0.6288 0.9682 0.7421
F4 0.8761 0.4663 0.2470
```

# 8
Structure and calculated X-ray diffraction stick pattern of Co3O5F (a DFT-relaxed cell (PBE+U, the Materials Project); copper Kα).
No peak broadening, texture or thermal motion is included.

Principal peaks in the range 10° ≤ 2θ ≤ 90°, in order of rising 2θ:
d_spacing  2θ (°)  I (rel.)
3.274  27.24  90.9
3.107  28.74  89.2
2.445  36.75  100.0
2.254  40.01  18.9
2.175  41.51  12.8
2.124  42.56  10.8
1.681  54.58  50.2
1.637  56.18  13.4
1.634  56.29  50.6
1.553  59.51  13.9
1.456  63.96  14.3
1.335  70.54  32.9

Structural model:
```
data_Co3O5F
_cell_length_a 4.5144
_cell_length_b 2.9111
_cell_length_c 13.5385
_cell_angle_alpha 90.00
_cell_angle_beta 93.01
_cell_angle_gamma 90.00
_symmetry_space_group_name_H-M 'P 1'
_symmetry_Int_Tables_number 1
loop_
_symmetry_equiv_pos_as_xyz
'x,y,z'
loop_
_atom_site_label
_atom_site_fract_x
_atom_site_fract_y
_atom_site_fract_z
Co1 0.0000 0.0000 0.0000
Co2 0.0228 0.0000 0.6566
Co3 0.4762 0.5000 0.8420
Co4 0.5000 0.5000 0.5000
Co5 0.5238 0.5000 0.1580
Co6 0.9772 0.0000 0.3434
O1 0.1800 0.5000 0.9378
O2 0.2171 0.5000 0.5952
O3 0.3031 0.0000 0.4365
O4 0.3081 0.0000 0.7697
O5 0.3130 0.0000 0.0993
O6 0.6870 0.0000 0.9007
O7 0.6919 0.0000 0.2303
O8 0.6969 0.0000 0.5635
O9 0.7829 0.5000 0.4048
O10 0.8200 0.5000 0.0622
F1 0.1875 0.5000 0.2699
F2 0.8125 0.5000 0.7301
```

# 9
Structure and calculated X-ray diffraction stick pattern of CoOF (a DFT-relaxed cell (PBE+U, the Materials Project); copper Kα).
No peak broadening, texture or thermal motion is included.

Principal peaks in the range 10° ≤ 2θ ≤ 90°, in order of rising 2θ:
d_spacing  2θ (°)  I (rel.)
3.801  23.41  16.0
3.350  26.61  100.0
3.259  27.37  87.4
2.475  36.29  44.3
2.460  36.53  65.3
2.310  39.00  14.9
2.169  41.64  14.3
1.701  53.89  28.4
1.676  54.76  32.8
1.629  56.50  14.7
1.453  64.10  21.9
1.361  69.02  23.6

Structural model:
```
data_CoOF
_cell_length_a 4.7272
_cell_length_b 2.9060
_cell_length_c 18.4867
_cell_angle_alpha 90.00
_cell_angle_beta 91.59
_cell_angle_gamma 90.00
_symmetry_space_group_name_H-M 'P 1'
_symmetry_Int_Tables_number 1
loop_
_symmetry_equiv_pos_as_xyz
'x,y,z'
loop_
_atom_site_label
_atom_site_fract_x
_atom_site_fract_y
_atom_site_fract_z
Co1 0.0000 0.0000 0.0000
Co2 0.0000 0.0000 0.5000
Co3 0.1302 0.0000 0.2495
Co4 0.4294 0.5000 0.8732
Co5 0.4427 0.5000 0.6269
Co6 0.5573 0.5000 0.3731
Co7 0.5706 0.5000 0.1268
Co8 0.8698 0.0000 0.7505
O1 0.1567 0.5000 0.9517
O2 0.2702 0.0000 0.5783
O3 0.2899 0.5000 0.2037
O4 0.3990 0.0000 0.3227
O5 0.6010 0.0000 0.6773
O6 0.7101 0.5000 0.7963
O7 0.7298 0.0000 0.4217
O8 0.8433 0.5000 0.0483
F1 0.0704 0.5000 0.7033
F2 0.1926 0.0000 0.8213
F3 0.2157 0.5000 0.4505
F4 0.3503 0.0000 0.0765
F5 0.6497 0.0000 0.9235
F6 0.7843 0.5000 0.5495
F7 0.8074 0.0000 0.1787
F8 0.9296 0.5000 0.2967
```

# 10
Structure and calculated X-ray diffraction stick pattern of Co2O3F (a DFT-relaxed cell (PBE+U, the Materials Project); copper Kα).
No peak broadening, texture or thermal motion is included.

Principal peaks in the range 10° ≤ 2θ ≤ 90°, in order of rising 2θ:
d_spacing  2θ (°)  I (rel.)
3.266  27.31  100.0
3.027  29.51  94.9
2.515  35.70  67.8
2.490  36.08  64.1
2.220  40.64  18.2
1.709  53.63  30.3
1.685  54.44  29.8
1.630  56.46  29.0
1.623  56.72  28.1
1.514  61.22  35.3
1.335  70.52  17.8
1.324  71.21  17.6

Structural model:
```
data_Co2O3F
_cell_length_a 4.4531
_cell_length_b 4.4531
_cell_length_c 12.1170
_cell_angle_alpha 90.67
_cell_angle_beta 90.67
_cell_angle_gamma 85.63
_symmetry_space_group_name_H-M 'P 1'
_symmetry_Int_Tables_number 1
loop_
_symmetry_equiv_pos_as_xyz
'x,y,z'
loop_
_atom_site_label
_atom_site_fract_x
_atom_site_fract_y
_atom_site_fract_z
Co1 0.0000 0.0000 0.0000
Co2 0.0021 0.0021 0.5009
Co3 0.0183 0.0183 0.2523
Co4 0.4736 0.4736 0.1224
Co5 0.4782 0.4782 0.3715
Co6 0.5331 0.5331 0.8727
Co7 0.5357 0.5357 0.6176
Co8 0.9936 0.9936 0.7502
O1 0.1858 0.1858 0.1226
O2 0.1993 0.1993 0.3739
O3 0.2913 0.6881 0.2498
O4 0.2945 0.7063 0.9996
O5 0.2970 0.6936 0.4906
O6 0.3026 0.7196 0.7481
O7 0.6881 0.2913 0.2498
O8 0.6936 0.2970 0.4906
O9 0.7063 0.2945 0.9996
O10 0.7196 0.3026 0.7481
O11 0.8134 0.8134 0.6230
O12 0.8154 0.8154 0.8769
F1 0.2125 0.2125 0.6233
F2 0.2139 0.2139 0.8728
F3 0.7853 0.7853 0.3713
F4 0.7887 0.7887 0.1274
```